Record 1
Calculated powder XRD pattern
Compound: CuC3O3F3
Radiation: copper Kα
Structure: a PBE-relaxed structure

Atomic structure:
```
data_CuC3O3F3
_symmetry_space_group_name_H-M 'P 1'
_symmetry_Int_Tables_number 1
_cell_length_a 8.2793
_cell_length_b 8.2793
_cell_length_c 10.3698
_cell_angle_alpha 110.80
_cell_angle_beta 110.80
_cell_angle_gamma 64.96
loop_
_symmetry_equiv_pos_as_xyz
'x,y,z'
loop_
_atom_site_label
_atom_site_type_symbol
_atom_site_fract_x
_atom_site_fract_y
_atom_site_fract_z
Cu1 Cu 0.0739 0.8345 0.5871
Cu2 Cu 0.1655 0.9261 0.9129
Cu3 Cu 0.8345 0.0739 0.0871
Cu4 Cu 0.9261 0.1655 0.4129
C1 C 0.0325 0.4134 0.7725
C2 C 0.0727 0.2072 0.7591
C3 C 0.2072 0.0727 0.2591
C4 C 0.2685 0.6284 0.5828
C5 C 0.3716 0.7315 0.9172
C6 C 0.4134 0.0325 0.2725
C7 C 0.5866 0.9675 0.7275
C8 C 0.6284 0.2685 0.0828
C9 C 0.7315 0.3716 0.4172
C10 C 0.7928 0.9273 0.7409
C11 C 0.9273 0.7928 0.2409
C12 C 0.9675 0.5866 0.2275
O1 O 0.0510 0.1061 0.6332
O2 O 0.1061 0.0510 0.1332
O3 O 0.1168 0.1643 0.8743
O4 O 0.1643 0.1168 0.3743
O5 O 0.3914 0.4931 0.5840
O6 O 0.4931 0.3914 0.0840
O7 O 0.5069 0.6086 0.9160
O8 O 0.6086 0.5069 0.4160
O9 O 0.8357 0.8832 0.6257
O10 O 0.8832 0.8357 0.1257
O11 O 0.8939 0.9490 0.8668
O12 O 0.9490 0.8939 0.3668
F1 F 0.0870 0.4357 0.6723
F2 F 0.1160 0.4956 0.9010
F3 F 0.1529 0.4949 0.2472
F4 F 0.4357 0.0870 0.1723
F5 F 0.4949 0.1529 0.7472
F6 F 0.4956 0.1160 0.4010
F7 F 0.5044 0.8840 0.5990
F8 F 0.5051 0.8471 0.2528
F9 F 0.5643 0.9130 0.8277
F10 F 0.8471 0.5051 0.7528
F11 F 0.8840 0.5044 0.0990
F12 F 0.9130 0.5643 0.3277
```

Largest 12 diffraction maxima, in order of falling intensity, 10 to 90 degrees two-theta:
- 2θ = 12.2°, rel. 100
- 2θ = 21.6°, rel. 61
- 2θ = 24.0°, rel. 32
- 2θ = 28.0°, rel. 30
- 2θ = 28.1°, rel. 24
- 2θ = 13.5°, rel. 20
- 2θ = 33.7°, rel. 20
- 2θ = 24.5°, rel. 18
- 2θ = 36.8°, rel. 16
- 2θ = 35.9°, rel. 15
- 2θ = 34.1°, rel. 13
- 2θ = 37.1°, rel. 13

***

Record 2
Calculated powder XRD pattern
Compound: CuC2S2O6F6
Radiation: copper Kα
Structure: a PBE-relaxed structure

Atomic structure:
```
data_CuC2S2O6F6
_symmetry_space_group_name_H-M 'P 1'
_symmetry_Int_Tables_number 1
_cell_length_a 4.8724
_cell_length_b 5.1038
_cell_length_c 10.9137
_cell_angle_alpha 87.56
_cell_angle_beta 77.71
_cell_angle_gamma 62.34
loop_
_symmetry_equiv_pos_as_xyz
'x,y,z'
loop_
_atom_site_label
_atom_site_type_symbol
_atom_site_fract_x
_atom_site_fract_y
_atom_site_fract_z
Cu1 Cu 0.0000 0.0000 0.0000
C1 C 0.4485 0.7807 0.3282
C2 C 0.5515 0.2193 0.6718
S1 S 0.4493 0.2650 0.8481
S2 S 0.5507 0.7350 0.1519
O1 O 0.1586 0.2295 0.8804
O2 O 0.2756 0.9858 0.1149
O3 O 0.4034 0.5581 0.8769
O4 O 0.5966 0.4419 0.1231
O5 O 0.7244 0.0142 0.8851
O6 O 0.8414 0.7705 0.1196
F1 F 0.1699 0.7769 0.3715
F2 F 0.3210 0.4471 0.6274
F3 F 0.4245 0.0384 0.3677
F4 F 0.5755 0.9616 0.6323
F5 F 0.6790 0.5529 0.3726
F6 F 0.8301 0.2231 0.6285
```

Largest 12 diffraction maxima, in order of falling intensity, 10 to 90 degrees two-theta:
- 2θ = 23.9°, rel. 100
- 2θ = 21.9°, rel. 79
- 2θ = 33.7°, rel. 30
- 2θ = 21.1°, rel. 22
- 2θ = 37.7°, rel. 22
- 2θ = 20.9°, rel. 19
- 2θ = 19.7°, rel. 18
- 2θ = 35.8°, rel. 17
- 2θ = 33.1°, rel. 17
- 2θ = 44.6°, rel. 17
- 2θ = 40.9°, rel. 14
- 2θ = 40.2°, rel. 13